Computed powder diffraction line list of K2CuF4 for a wavelength of 1.5418 Å, from a structure optimized by DFT (PBE).
Intensities are scaled so that the largest is 100.

Main lines, by angle (10 to 90 degrees two-theta):
two_theta	I/Imax
14.3	80
27.0	42
29.5	66
31.3	100
37.0	39
37.6	42
40.6	61
43.9	39
46.4	40
63.3	27

Cell and atoms:
Lattice parameters (Å, degrees): 4.4438 12.3796 3.9123 90.00 90.00 90.00
Space group Cmmm (No. 65)
One atom of each set of equivalent atoms:
K (0.0000, 0.1477, 0.0000) x4
Cu (0.0000, 0.5000, 0.5000) x2
F (0.0000, 0.0000, 0.5000) x2
F (0.0000, 0.3413, 0.5000) x4
F (0.0000, 0.5000, 0.0000) x2

---

Computed powder diffraction line list of K2CuF4 for a wavelength of 1.5418 Å, from a structure optimized by DFT (PBE).
Intensities are scaled so that the largest is 100.

Main lines, by angle (10 to 90 degrees two-theta):
two_theta	I/Imax
13.7	88
22.4	30
29.8	98
30.3	100
41.0	32
41.9	31
43.4	78
52.6	22
53.5	35
61.9	32

Cell and atoms:
Lattice parameters (Å, degrees): 5.9005 5.9005 25.8780 90.00 90.00 90.00
Space group I4/mcm (No. 140)
One atom of each set of equivalent atoms:
K (0.0000, 0.0000, 0.0716) x8
K (0.0000, 0.5000, 0.1793) x8
Cu (0.0000, 0.0000, 0.2500) x4
Cu (0.0000, 0.5000, 0.0000) x4
F (0.0000, 0.0000, 0.1736) x8
F (0.0000, 0.5000, 0.0769) x8
F (0.2326, 0.2674, 0.0000) x8
F (0.2500, 0.2500, 0.2500) x8

---

Computed powder diffraction line list of K2CuF4 for a wavelength of 1.5418 Å, from a structure optimized by DFT (PBE).
Intensities are scaled so that the largest is 100.

Main lines, by angle (10 to 90 degrees two-theta):
two_theta	I/Imax
13.6	89
22.6	31
29.8	100
30.6	99
41.0	31
41.6	33
43.8	78
52.5	23
53.9	35
62.0	34

Cell and atoms:
Lattice parameters (Å, degrees): 4.1366 4.1366 13.0152 90.00 90.00 90.00
Space group I4/mmm (No. 139)
One atom of each set of equivalent atoms:
K (0.0000, 0.0000, 0.1431) x4
Cu (0.0000, 0.0000, 0.5000) x2
F (0.0000, 0.0000, 0.3467) x4
F (0.0000, 0.5000, 0.0000) x4

---

Computed powder diffraction line list of K2CuF4 for a wavelength of 1.5418 Å, from a structure optimized by DFT (PBE).
Intensities are scaled so that the largest is 100.

Main lines, by angle (10 to 90 degrees two-theta):
two_theta	I/Imax
13.7	85
22.3	30
29.8	96
30.1	100
41.1	31
42.0	30
43.1	77
52.6	21
53.3	34
61.8	31

Cell and atoms:
Lattice parameters (Å, degrees): 12.8958 5.9308 5.9328 90.00 90.00 90.00
Space group Cmce (No. 64)
One atom of each set of equivalent atoms:
K (0.1422, 0.0000, 0.0000) x8
Cu (0.0000, 0.0000, 0.5000) x4
F (0.0000, 0.2320, 0.2680) x8
F (0.1535, 0.0000, 0.5000) x8

---

Computed powder diffraction line list of K2CuF4 for a wavelength of 1.5418 Å, from a structure optimized by DFT (PBE).
Intensities are scaled so that the largest is 100.

Main lines, by angle (10 to 90 degrees two-theta):
two_theta	I/Imax
13.7	85
22.3	30
29.8	96
30.1	100
41.1	32
42.0	30
43.1	77
52.6	21
53.3	34
61.8	31

Cell and atoms:
Lattice parameters (Å, degrees): 5.9352 5.9352 25.7896 90.00 90.00 90.00
Space group I4_1/acd (No. 142, origin choice 2)
One atom of each set of equivalent atoms:
K (0.0000, 0.2500, 0.3040) x16
Cu (0.0000, 0.2500, 0.1250) x8
F (0.0000, 0.2500, 0.0482) x16
F (0.2319, 0.0181, 0.1250) x16

---

Computed powder diffraction line list of K2LiCuF6 for a wavelength of 1.5418 Å, from a structure optimized by DFT (PBE).
Intensities are scaled so that the largest is 100.

Main lines, by angle (10 to 90 degrees two-theta):
two_theta	I/Imax
19.0	87
31.2	100
36.8	36
38.5	40
44.8	92
55.6	35
59.3	15
65.2	48
74.0	15
82.5	15

Cell and atoms:
Lattice parameters (Å, degrees): 8.0997 8.0997 8.0997 90.00 90.00 90.00
Space group Fm-3m (No. 225)
One atom of each set of equivalent atoms:
K (0.2500, 0.2500, 0.2500) x8
Li (0.0000, 0.0000, 0.0000) x4
Cu (0.0000, 0.0000, 0.5000) x4
F (0.0000, 0.0000, 0.2605) x24